Entry 1:
This entry pairs a crystal structure of Li2MnSiO4 with its computed powder diffractogram. Radiation: Cu Kα X-rays. Structure: DFT lattice parameters and positions (GGA+U).

Top 8 peaks for 2θ = 10–80°, by intensity:
| 2theta | I/Imax | hkl |
| --- | --- | --- |
| 32.68 | 100.0 | 2 2 0 |
| 22.47 | 69.1 | 0 1 1 |
| 37.29 | 69.0 | 4 0 1 |
| 35.39 | 58.7 | 0 0 2 |
| 21.44 | 54.6 | 2 1 0 |
| 58.32 | 53.4 | 0 4 0 |
| 23.91 | 46.2 | 1 1 1 |
| 64.79 | 44.9 | 4 0 3 |

```
data_Li2MnSiO4
_cell_length_a 10.972
_cell_length_b 6.324
_cell_length_c 5.072
_cell_angle_alpha 90.00
_cell_angle_beta 90.00
_cell_angle_gamma 90.00
_space_group_name_H-M_alt 'P n a 21'
_space_group_IT_number 33
_space_group_name_Hall 'P 2c -2n'
loop_
_atom_site_label
_atom_site_type_symbol
_atom_site_fract_x
_atom_site_fract_y
_atom_site_fract_z
Li1 Li 0.092 0.244 0.000
Li2 Li 0.174 0.502 0.499
Mn1 Mn 0.082 0.753 0.997
Si1 Si 0.168 0.002 0.505
O1 O 0.093 0.786 0.410
O2 O 0.100 0.219 0.393
O3 O 0.169 0.009 0.829
O4 O 0.190 0.495 0.894
```



Entry 2:
This entry pairs a crystal structure of MgMn12O17F7 with its computed powder diffractogram. Radiation: Cu Kα X-rays. Structure: DFT lattice parameters and positions (GGA+U).

Top 8 peaks for 2θ = 10–80°, by intensity:
| 2theta | I/Imax | hkl |
| --- | --- | --- |
| 24.28 | 100.0 | 1 -1 0 |
| 29.81 | 79.8 | 1 -1 3 |
| 29.42 | 74.3 | 1 1 3 |
| 30.63 | 58.3 | -1 1 3 |
| 30.94 | 57.4 | 1 1 -3 |
| 51.51 | 55.4 | 2 0 6 |
| 35.83 | 44.9 | 0 0 6 |
| 41.60 | 35.4 | 1 2 -3 |

```
data_MgMn12O17F7
_cell_length_a 4.778
_cell_length_b 5.728
_cell_length_c 15.058
_cell_angle_alpha 88.93
_cell_angle_beta 87.04
_cell_angle_gamma 89.84
_space_group_name_H-M_alt 'P 1'
_space_group_IT_number 1
_space_group_name_Hall 'P 1'
loop_
_atom_site_label
_atom_site_type_symbol
_atom_site_fract_x
_atom_site_fract_y
_atom_site_fract_z
Mg1 Mg 0.000 0.000 0.000
Mn1 Mn 0.014 0.570 0.324
Mn2 Mn 0.037 0.295 0.166
Mn3 Mn 0.441 0.730 0.829
Mn4 Mn 0.448 0.086 0.666
Mn5 Mn 0.477 0.762 0.167
Mn6 Mn 0.480 0.272 0.002
Mn7 Mn 0.491 0.090 0.336
Mn8 Mn 0.491 0.761 0.505
Mn9 Mn 0.963 0.258 0.816
Mn10 Mn 0.983 0.554 0.656
Mn11 Mn 0.984 0.523 0.989
Mn12 Mn 0.995 0.270 0.493
O1 O 0.166 0.515 0.767
O2 O 0.169 0.276 0.930
O3 O 0.196 0.752 0.936
O4 O 0.203 0.318 0.600
O5 O 0.241 0.032 0.775
O6 O 0.243 0.518 0.089
O7 O 0.252 0.343 0.265
O8 O 0.252 0.800 0.612
O9 O 0.272 0.830 0.280
O10 O 0.282 0.062 0.095
O11 O 0.292 0.039 0.449
O12 O 0.695 0.476 0.908
O13 O 0.737 0.304 0.719
O14 O 0.771 0.540 0.551
O15 O 0.796 0.308 0.384
O16 O 0.809 0.275 0.063
O17 O 0.813 0.548 0.219
F1 F 0.246 0.544 0.428
F2 F 0.716 0.042 0.564
F3 F 0.717 0.785 0.722
F4 F 0.722 0.016 0.896
F5 F 0.750 0.793 0.389
F6 F 0.754 0.061 0.222
F7 F 0.754 0.762 0.053
```